Simulated powder X-ray diffraction pattern of NaGaS2O8 for CuKα, from the GGA-PBE geometry in the Materials Project.
Intensities are scaled so that the largest is 100.

abc: 7.996 5.166 7.298
angles: 90.00 92.84 90.00
Space group C2/m (No. 12)
Symmetry-distinct sites (fractional):
Na 0.000 0.000 0.000 (multiplicity 2)
Ga 0.000 0.000 0.500 (multiplicity 2)
S 0.135 0.500 0.285 (multiplicity 4)
O 0.025 0.264 0.301 (multiplicity 8)
O 0.209 0.500 0.108 (multiplicity 4)
O 0.242 0.000 0.554 (multiplicity 4)

Main lines, sorted by position (15° ≤ 2θ ≤ 90°):
2θ = 23.59°, intensity 100, (1 1 -1); 2θ = 25.97°, intensity 56, (2 0 1); 2θ = 31.64°, intensity 64, (1 1 -2); 2θ = 32.51°, intensity 43, (1 1 2); 2θ = 34.73°, intensity 29, (0 2 0); 2θ = 38.03°, intensity 45, (3 1 0)